# 1
# SrPr3Tl2
Theoretical X-ray powder pattern, λ = 1.5418 Å (Cu Kα). Input: the GGA-PBE geometry in Alexandria.

abc: 5.6198 9.8186 7.2038
angles: 90.00 90.00 90.00
Fractional positions:
Sr1 0.0000 0.0209 0.0000
Sr2 0.0000 0.9791 0.5000
Pr1 0.0000 0.3370 0.7238
Pr2 0.0000 0.6630 0.2238
Pr3 0.5000 0.1722 0.2727
Pr4 0.5000 0.4829 0.9942
Pr5 0.5000 0.5171 0.4942
Pr6 0.5000 0.8278 0.7727
Tl1 0.0000 0.3359 0.2460
Tl2 0.0000 0.6641 0.7460
Tl3 0.5000 0.1657 0.7498
Tl4 0.5000 0.8343 0.2498

The 8 most intense peaks (2θ from 10° to 90°), low angle first:
Position (°2θ)	I_rel
24.72	18
30.84	100
31.64	80
31.85	40
40.56	21
44.89	23
56.16	20
60.99	22

***

# 2
# AcNd2Al9
Theoretical X-ray powder pattern, λ = 1.5418 Å (Cu Kα). Input: the GGA-PBE geometry in Alexandria.

abc: 9.4861 9.4861 9.4861
angles: 35.36 35.36 35.36
Fractional positions:
Ac1 0.0000 0.0000 0.0000
Nd1 0.1413 0.1413 0.1413
Nd2 0.8587 0.8587 0.8587
Al1 0.0752 0.5875 0.5875
Al2 0.3359 0.3359 0.3359
Al3 0.4125 0.4125 0.9248
Al4 0.4125 0.9248 0.4125
Al5 0.5000 0.5000 0.5000
Al6 0.5875 0.0752 0.5875
Al7 0.5875 0.5875 0.0752
Al8 0.6641 0.6641 0.6641
Al9 0.9248 0.4125 0.4125

The 8 most intense peaks (2θ from 10° to 90°), low angle first:
Position (°2θ)	I_rel
18.09	97
29.51	82
31.04	86
32.31	56
36.16	47
37.20	100
54.28	32
61.28	34

***

# 3
# Li2Sb2PdPt
Theoretical X-ray powder pattern, λ = 1.5418 Å (Cu Kα). Input: the GGA-PBE geometry in Alexandria.

abc: 7.6162 7.6162 7.6162
angles: 133.42 67.53 134.02
Fractional positions:
Li1 0.1389 0.2500 0.3889
Li2 0.3611 0.7500 0.1111
Li3 0.6389 0.2500 0.8889
Li4 0.8611 0.7500 0.6111
Sb1 0.1380 0.7504 0.8885
Sb2 0.3620 0.2504 0.6124
Sb3 0.6380 0.7496 0.3876
Sb4 0.8620 0.2496 0.1115
Pd1 0.2500 0.2500 0.0000
Pd2 0.7500 0.7500 0.0000
Pt1 0.2500 0.7500 0.5000
Pt2 0.7500 0.2500 0.5000

The 8 most intense peaks (2θ from 10° to 90°), low angle first:
Position (°2θ)	I_rel
13.99	100
25.31	80
32.94	45
33.28	44
41.38	60
41.66	59
42.73	57
62.11	22

***

# 4
# CuHg2Pd4
Theoretical X-ray powder pattern, λ = 1.5418 Å (Cu Kα). Input: the GGA-PBE geometry in Alexandria.

abc: 5.6477 5.6477 5.6477
angles: 120.95 120.95 88.37
Fractional positions:
Cu1 0.0000 0.0000 0.0000
Hg1 0.0000 0.5000 0.5000
Hg2 0.5000 0.0000 0.5000
Pd1 0.0000 0.0000 0.5000
Pd2 0.0000 0.5000 0.0000
Pd3 0.5000 0.0000 0.0000
Pd4 0.5000 0.5000 0.5000

The 8 most intense peaks (2θ from 10° to 90°), low angle first:
Position (°2θ)	I_rel
22.59	27
31.70	24
39.28	100
44.75	17
46.12	32
66.22	21
78.79	13
80.77	24

***

# 5
# Nd8Co2Tc
Theoretical X-ray powder pattern, λ = 1.5418 Å (Cu Kα). Input: the GGA-PBE geometry in Alexandria.

abc: 7.6893 7.6893 6.1223
angles: 100.60 100.60 115.23
Fractional positions:
Nd1 0.0000 0.0000 0.0000
Nd2 0.0197 0.2769 0.5898
Nd3 0.1486 0.5710 0.1837
Nd4 0.2769 0.0197 0.5898
Nd5 0.4449 0.7013 0.7765
Nd6 0.5710 0.1486 0.1837
Nd7 0.7013 0.4449 0.7765
Nd8 0.7229 0.7229 0.3683
Co1 0.0634 0.6593 0.6844
Co2 0.6593 0.0634 0.6844
Tc1 0.3630 0.3630 0.1947

The 8 most intense peaks (2θ from 10° to 90°), low angle first:
Position (°2θ)	I_rel
30.00	100
30.41	55
31.65	86
32.02	74
33.56	76
36.11	65
38.16	62
53.53	40

***

# 6
# LiAg5Se3
Theoretical X-ray powder pattern, λ = 1.5418 Å (Cu Kα). Input: the GGA-PBE geometry in Alexandria.

abc: 7.9158 7.9158 9.0408
angles: 108.25 108.25 46.58
Fractional positions:
Li1 0.2222 0.7778 0.7500
Li2 0.7778 0.2222 0.2500
Ag1 0.0629 0.5920 0.9262
Ag2 0.0915 0.5828 0.3804
Ag3 0.2723 0.7277 0.2500
Ag4 0.4081 0.9371 0.5738
Ag5 0.4172 0.9085 0.1196
Ag6 0.5828 0.0915 0.8804
Ag7 0.5920 0.0629 0.4262
Ag8 0.7277 0.2723 0.7500
Ag9 0.9085 0.4172 0.6196
Ag10 0.9371 0.4081 0.0738
Se1 0.0000 0.0000 0.0000
Se2 0.0000 0.0000 0.5000
Se3 0.2967 0.3788 0.6558
Se4 0.3788 0.2967 0.1558
Se5 0.6212 0.7033 0.8442
Se6 0.7033 0.6212 0.3442

The 8 most intense peaks (2θ from 10° to 90°), low angle first:
Position (°2θ)	I_rel
17.48	17
24.16	17
24.29	28
28.26	14
28.52	16
39.55	35
39.92	100
40.58	60